Structure and calculated powder X-ray diffraction pattern of ErTlMo2O8 (the PBE+U geometry in the Materials Project; CuKα).

```
data_ErTlMo2O8
_chemical_formula_sum 'Er4 Tl4 Mo8 O32'
_symmetry_space_group_name_H-M 'P b c n'
_symmetry_Int_Tables_number 60
_cell_length_a 5.112
_cell_length_b 18.755
_cell_length_c 8.098
_cell_angle_alpha 90.00
_cell_angle_beta 90.00
_cell_angle_gamma 90.00
loop_
_symmetry_equiv_pos_as_xyz
'x,y,z'
'-x,-y,-z'
'-x+1/2,-y+1/2,z+1/2'
'x+1/2,y+1/2,-z+1/2'
'x+1/2,-y+1/2,-z'
'-x+1/2,y+1/2,z'
'-x,y,-z+1/2'
'x,-y,z+1/2'
loop_
_atom_site_label
_atom_site_type_symbol
_atom_site_fract_x
_atom_site_fract_y
_atom_site_fract_z
Er1 Er 0.000 0.006 0.250
Tl1 Tl 0.000 0.230 0.750
Mo1 Mo 0.022 0.400 0.016
O1 O 0.100 0.313 0.475
O2 O 0.233 0.403 0.838
O3 O 0.244 0.410 0.191
O4 O 0.246 0.035 0.006
```

Principal peaks in the range 2θ from 5° to 70°, by angle:
2θ/deg  I (rel.)  hkl
21.1  49  1 1 1
25.0  50  1 3 1
28.5  100  1 1 2
29.1  70  0 4 2
29.5  71  1 5 0
46.2  57  2 4 2